For Bi6MoO12, a DFT-relaxed cell (GGA+U, Alexandria) gives the computed powder diffractogram in this record (copper Kα).
Neutral-atom scattering factors, no anomalous dispersion.

Principal peaks in the range 2θ from 10° to 80°, by angle:
2theta, Rel. int.
27.83, 100
28.22, 30
32.36, 53
46.17, 29
46.68, 27
54.77, 14
55.00, 30
55.44, 14
57.51, 12
74.37, 13

```
data_Bi6MoO12
_symmetry_space_group_name_H-M 'R -3'
_symmetry_Int_Tables_number 148
_symmetry_space_group_name_Hall '-R 3'
_cell_length_a 10.4040
_cell_length_b 10.4040
_cell_length_c 9.4854
_cell_angle_alpha 90.00
_cell_angle_beta 90.00
_cell_angle_gamma 120.00
loop_
_atom_site_label
_atom_site_fract_x
_atom_site_fract_y
_atom_site_fract_z
_atom_site_occupancy
Bi1 0.0455 0.8011 0.1558 1
Mo1 0.0000 0.0000 0.5000 1
O1 0.0376 0.8655 0.3846 1
O2 0.0393 0.8314 0.8913 1
```